Theoretical powder diffractogram of Re6Tc for Cu Kα, from a cell relaxed with PBE.
Neutral-atom scattering factors, no anomalous dispersion.

Structural model:
```
Re6Tc
1.0
2.211 -8.667 0.000
2.211 8.667 0.000
0.000 0.000 5.507
Re Tc
12 2
direct
0.002 0.998 0.750
0.152 0.848 0.502
0.152 0.848 0.998
0.293 0.707 0.250
0.429 0.571 0.503
0.429 0.571 0.997
0.571 0.429 0.003
0.571 0.429 0.497
0.707 0.293 0.750
0.848 0.152 0.002
0.848 0.152 0.498
0.998 0.002 0.250
0.292 0.708 0.750
0.708 0.292 0.250
```

Largest 8 diffraction maxima, most intense first, 2θ = 10–80°:
2θ 41.68, I = 100; 2θ 41.81, I = 97; 2θ 40.81, I = 56; 2θ 38.74, I = 42; 2θ 57.53, I = 27; 2θ 78.20, I = 18; 2θ 74.89, I = 18; 2θ 74.98, I = 18